Structure and simulated PXRD pattern of BaVOsO6 (a crystal structure in Alexandria, relaxed with GGA+U; Cu Kα X-rays).
Lines closer than 0.1° are merged.

Peak list (10 most intense, 2θ = 15–90°, by intensity)
2θ (°)	d_spacing	I_rel
25.0	3.560	100
47.0	1.934	29
34.2	2.618	19
19.5	4.542	15
15.5	5.734	14
42.8	2.114	14
51.9	1.762	12
31.2	2.867	10
34.1	2.630	10
46.8	1.940	8

Lattice parameters (Å, degrees): 5.2370 5.2370 5.7337 90.06 90.06 119.71
Element x y z (fractional)
Ba 0.0000 0.0000 0.0000
V 0.3323 0.6677 0.5000
Os 0.6670 0.3330 0.5000
O 0.0011 0.3912 0.6889
O 0.0017 0.6086 0.3112
O 0.3899 0.3910 0.3115
O 0.3914 0.9983 0.6888
O 0.6090 0.6101 0.6885
O 0.6088 0.9989 0.3111